[1]
For Ho2Ge2Ru, a structure optimized by DFT (GGA-PBE) gives the calculated powder XRD pattern in this record (Cu Kα (λ = 1.5418 Å)).

Structure:
```
Ho2Ge2Ru
1.0
5.3684 -2.1463 0.0000
5.3684 2.1463 0.0000
-4.8131 0.0000 8.9604
Ho Ge Ru
4 4 2
direct
0.0010 0.0010 0.3278 Ho
0.1838 0.1838 0.1100 Ho
0.8162 0.8162 0.8900 Ho
0.9990 0.9990 0.6722 Ho
0.3550 0.3550 0.4326 Ge
0.4881 0.4881 0.1246 Ge
0.5119 0.5119 0.8754 Ge
0.6450 0.6450 0.5674 Ge
0.2714 0.2714 0.6272 Ru
0.7286 0.7286 0.3728 Ru
```

Peak list (6 most intense, 15 to 90 degrees two-theta, sorted by position)
2θ (°)	Rel. int.
32.76	52
33.24	100
34.03	58
36.67	63
40.42	61
42.10	57

---

[2]
For Zr2N2O, a structure optimized by DFT (GGA-PBE) gives the calculated powder XRD pattern in this record (Cu Kα (λ = 1.5418 Å)).

Structure:
```
Zr2N2O
1.0
8.8538 0.0000 0.0000
-2.9670 8.3696 0.0000
-2.9312 -4.1901 7.2643
Zr N O
16 16 8
direct
0.0000 0.0000 0.0000 Zr
0.0018 0.4939 0.5013 Zr
0.0407 0.7782 0.3302 Zr
0.2192 0.7382 0.0375 Zr
0.2454 0.0331 0.7832 Zr
0.2542 0.5291 0.2788 Zr
0.2831 0.3116 0.5381 Zr
0.4664 0.2888 0.2518 Zr
0.4970 0.0622 0.5728 Zr
0.5079 0.5578 0.0734 Zr
0.5482 0.7757 0.8225 Zr
0.7254 0.2506 0.0372 Zr
0.7554 0.5297 0.7882 Zr
0.7662 0.0289 0.2886 Zr
0.7941 0.8143 0.5385 Zr
0.9727 0.2882 0.7566 Zr
0.0173 0.7592 0.5621 N
0.0234 0.2568 0.5216 N
0.0289 0.0775 0.8024 N
0.2126 0.2568 0.2579 N
0.2234 0.4866 0.0162 N
0.2509 0.0688 0.5563 N
0.3023 0.8047 0.3214 N
0.4948 0.2976 0.0177 N
0.5132 0.5191 0.8185 N
0.5292 0.5633 0.3363 N
0.7428 0.7565 0.7438 N
0.7595 0.2978 0.8275 N
0.7898 0.7951 0.2733 N
0.7942 0.0400 0.0600 N
0.9810 0.4938 0.2452 N
0.9939 0.5454 0.7562 N
0.2635 0.9910 0.0245 O
0.2881 0.5813 0.5644 O
0.4761 0.9743 0.7684 O
0.4799 0.8084 0.0515 O
0.5333 0.2908 0.5143 O
0.7084 0.0194 0.5128 O
0.7167 0.2675 0.3063 O
0.9825 0.7671 0.0584 O
```

Peak list (6 most intense, 15 to 90 degrees two-theta, sorted by position)
2θ (°)	Rel. int.
30.18	100
30.28	33
34.99	25
50.27	16
50.39	25
59.88	18

---

[3]
For KHfMg6, a structure optimized by DFT (GGA-PBE) gives the calculated powder XRD pattern in this record (Cu Kα (λ = 1.5418 Å)).

Structure:
```
KHfMg6
1.0
6.6758 0.0000 0.0000
0.0000 6.6758 0.0000
0.0000 0.0000 4.6367
K Hf Mg
1 1 6
direct
0.0000 0.0000 0.0000 K
0.5000 0.5000 0.0000 Hf
0.0000 0.5000 0.0000 Mg
0.2745 0.2745 0.5000 Mg
0.2745 0.7255 0.5000 Mg
0.5000 0.0000 0.0000 Mg
0.7255 0.2745 0.5000 Mg
0.7255 0.7255 0.5000 Mg
```

Peak list (6 most intense, 15 to 90 degrees two-theta, sorted by position)
2θ (°)	Rel. int.
18.80	42
23.36	24
26.95	33
33.07	100
35.77	27
38.13	33

---

[4]
For SnPb, a structure optimized by DFT (GGA-PBE) gives the calculated powder XRD pattern in this record (Cu Kα (λ = 1.5418 Å)).

Structure:
```
SnPb
1.0
3.4785 0.0000 0.0000
-1.7392 3.0124 0.0000
0.0000 0.0000 5.7179
Sn Pb
1 1
direct
0.0000 0.0000 0.0000 Sn
0.3333 0.6667 0.5000 Pb
```

Peak list (6 most intense, 15 to 90 degrees two-theta, sorted by position)
2θ (°)	Rel. int.
29.66	27
31.29	26
33.63	100
43.65	19
57.19	23
62.51	23

---

[5]
For WN2, a structure optimized by DFT (GGA-PBE) gives the calculated powder XRD pattern in this record (Cu Kα (λ = 1.5418 Å)).

Structure:
```
WN2
1.0
9.7439 0.0000 0.0000
0.0000 9.7439 0.0000
0.0000 0.0000 3.0410
W N
8 16
direct
0.0004 0.2472 0.0803 W
0.9996 0.7528 0.9197 W
0.2472 0.4996 0.4197 W
0.2528 0.0004 0.4197 W
0.4996 0.2528 0.0803 W
0.5004 0.7472 0.9197 W
0.7472 0.9996 0.5803 W
0.7528 0.5004 0.5803 W
0.0990 0.1510 0.4992 N
0.1020 0.6485 0.5379 N
0.1485 0.8980 0.0379 N
0.1510 0.4010 0.0008 N
0.3490 0.0990 0.0008 N
0.3515 0.6020 0.0379 N
0.3980 0.8515 0.5379 N
0.4010 0.3490 0.4992 N
0.5990 0.6510 0.5008 N
0.6020 0.1485 0.4621 N
0.6485 0.3980 0.9621 N
0.6510 0.9010 0.9992 N
0.8490 0.5990 0.9992 N
0.8515 0.1020 0.9621 N
0.8980 0.3515 0.4621 N
0.9010 0.8490 0.5008 N
```

Peak list (6 most intense, 15 to 90 degrees two-theta, sorted by position)
2θ (°)	Rel. int.
25.86	100
34.78	62
36.90	30
51.60	49
53.17	16
60.05	18